(1)
Structure and theoretical X-ray diffraction stick pattern of Li4MnCo2O7 (a GGA+U-relaxed structure; CuKα).
Kinematic intensities with the Lorentz-polarization factor, no thermal factor.

Most intense lines, 15° ≤ 2θ ≤ 90°, in order of rising 2θ:
two_theta	intensity
18.5	100
36.5	12
36.6	24
44.1	25
44.2	51
48.3	7
58.1	14
63.8	13
64.6	13
65.0	7

Crystal structure
a = 9.753 Å, b = 9.753 Å, c = 9.640 Å
α = 114.82°, β = 114.82°, γ = 16.93°
Positions (direct):
1 Li 0.000 0.000 0.000
2 Li 0.134 0.134 0.576
3 Li 0.293 0.293 0.152
4 Li 0.437 0.437 0.724
5 Li 0.505 0.505 0.517
6 Li 0.575 0.575 0.309
7 Li 0.719 0.719 0.854
8 Li 0.873 0.873 0.459
9 Mn 0.647 0.647 0.079
10 Mn 0.936 0.936 0.231
11 Co 0.075 0.075 0.791
12 Co 0.218 0.218 0.364
13 Co 0.361 0.361 0.939
14 Co 0.790 0.790 0.651
15 O 0.032 0.032 0.384
16 O 0.118 0.118 0.181
17 O 0.178 0.178 0.982
18 O 0.262 0.262 0.765
19 O 0.317 0.317 0.534
20 O 0.400 0.400 0.317
21 O 0.460 0.460 0.117
22 O 0.549 0.549 0.907
23 O 0.608 0.608 0.703
24 O 0.688 0.688 0.460
25 O 0.745 0.745 0.257
26 O 0.833 0.833 0.043
27 O 0.892 0.892 0.841
28 O 0.976 0.976 0.635

(2)
Structure and theoretical X-ray diffraction stick pattern of Li4MnCo2O7 (a GGA+U-relaxed structure; CuKα).
Kinematic intensities with the Lorentz-polarization factor, no thermal factor.

Most intense lines, 15° ≤ 2θ ≤ 90°, in order of rising 2θ:
two_theta	intensity
18.3	100
36.0	13
36.3	11
36.4	13
37.8	10
43.4	28
43.8	25
44.0	26
63.4	7
63.9	7

Crystal structure
a = 2.912 Å, b = 7.729 Å, c = 11.397 Å
α = 80.59°, β = 82.93°, γ = 79.96°
Positions (direct):
1 Li 0.000 0.000 0.000
2 Li 0.052 0.227 0.653
3 Li 0.210 0.643 0.928
4 Li 0.384 0.067 0.193
5 Li 0.500 0.500 0.500
6 Li 0.616 0.933 0.807
7 Li 0.790 0.357 0.072
8 Li 0.948 0.773 0.347
9 Mn 0.296 0.853 0.574
10 Mn 0.704 0.147 0.426
11 Co 0.129 0.431 0.287
12 Co 0.430 0.272 0.870
13 Co 0.570 0.728 0.130
14 Co 0.871 0.569 0.713
15 O 0.020 0.121 0.821
16 O 0.094 0.313 0.456
17 O 0.156 0.540 0.127
18 O 0.281 0.736 0.737
19 O 0.319 0.972 0.404
20 O 0.390 0.194 0.027
21 O 0.457 0.414 0.682
22 O 0.543 0.586 0.318
23 O 0.610 0.806 0.973
24 O 0.681 0.028 0.596
25 O 0.719 0.264 0.263
26 O 0.844 0.460 0.873
27 O 0.906 0.687 0.544
28 O 0.980 0.879 0.179

(3)
Structure and theoretical X-ray diffraction stick pattern of Li4Mn3CoO8 (a GGA+U-relaxed structure; CuKα).
Kinematic intensities with the Lorentz-polarization factor, no thermal factor.

Most intense lines, 15° ≤ 2θ ≤ 90°, in order of rising 2θ:
two_theta	intensity
18.2	100
35.0	31
36.0	13
36.9	14
42.4	57
43.9	25
47.1	9
56.1	9
62.5	14
62.8	14

Crystal structure
a = 5.117 Å, b = 3.025 Å, c = 9.896 Å
α = 90.00°, β = 101.56°, γ = 90.00°
Positions (direct):
1 Li 0.000 0.000 0.000
2 Li 0.237 0.500 0.256
3 Li 0.500 0.000 0.500
4 Li 0.763 0.500 0.744
5 Mn 0.261 0.000 0.746
6 Mn 0.500 0.500 0.000
7 Mn 0.739 0.000 0.254
8 Co 0.000 0.500 0.500
9 O 0.088 0.000 0.367
10 O 0.157 0.500 0.875
11 O 0.378 0.500 0.635
12 O 0.393 0.000 0.123
13 O 0.607 0.000 0.877
14 O 0.622 0.500 0.365
15 O 0.843 0.500 0.125
16 O 0.912 0.000 0.633

(4)
Structure and theoretical X-ray diffraction stick pattern of Li7Mn2Co3O12 (a GGA+U-relaxed structure; CuKα).
Kinematic intensities with the Lorentz-polarization factor, no thermal factor.

Most intense lines, 15° ≤ 2θ ≤ 90°, in order of rising 2θ:
two_theta	intensity
18.5	100
35.1	13
36.4	27
42.6	28
44.2	55
47.8	13
58.4	9
62.8	15
63.3	14
80.8	7

Crystal structure
a = 5.177 Å, b = 2.874 Å, c = 14.373 Å
α = 90.00°, β = 91.33°, γ = 90.00°
Positions (direct):
1 Li 0.000 0.000 0.000
2 Li 0.000 0.000 0.500
3 Li 0.126 0.500 0.354
4 Li 0.354 0.000 0.659
5 Li 0.500 0.500 0.000
6 Li 0.646 0.000 0.341
7 Li 0.874 0.500 0.646
8 Mn 0.169 0.500 0.832
9 Mn 0.831 0.500 0.168
10 Co 0.330 0.000 0.169
11 Co 0.500 0.500 0.500
12 Co 0.670 0.000 0.831
13 O 0.025 0.000 0.755
14 O 0.146 0.500 0.095
15 O 0.211 0.500 0.574
16 O 0.313 0.000 0.911
17 O 0.346 0.000 0.426
18 O 0.480 0.500 0.762
19 O 0.520 0.500 0.238
20 O 0.654 0.000 0.574
21 O 0.687 0.000 0.089
22 O 0.789 0.500 0.426
23 O 0.854 0.500 0.905
24 O 0.975 0.000 0.245

(5)
Structure and theoretical X-ray diffraction stick pattern of Li4Mn3CoO8 (a GGA+U-relaxed structure; CuKα).
Kinematic intensities with the Lorentz-polarization factor, no thermal factor.

Most intense lines, 15° ≤ 2θ ≤ 90°, in order of rising 2θ:
two_theta	intensity
18.2	100
33.0	23
36.4	28
39.6	36
44.4	49
46.5	12
58.5	9
60.6	16
61.3	16
65.4	10

Crystal structure
a = 3.077 Å, b = 6.082 Å, c = 8.155 Å
α = 90.42°, β = 91.26°, γ = 96.31°
Positions (direct):
1 Li 0.000 0.000 0.000
2 Li 0.000 0.500 0.500
3 Li 0.495 0.251 0.246
4 Li 0.505 0.749 0.754
5 Mn 0.000 0.000 0.500
6 Mn 0.498 0.254 0.752
7 Mn 0.502 0.746 0.248
8 Co 0.000 0.500 0.000
9 O 0.025 0.505 0.235
10 O 0.026 0.010 0.741
11 O 0.471 0.245 0.511
12 O 0.476 0.735 0.008
13 O 0.524 0.265 0.992
14 O 0.529 0.755 0.489
15 O 0.974 0.990 0.259
16 O 0.975 0.495 0.765

(6)
Structure and theoretical X-ray diffraction stick pattern of Li7Mn2Co3O12 (a GGA+U-relaxed structure; CuKα).
Kinematic intensities with the Lorentz-polarization factor, no thermal factor.

Most intense lines, 15° ≤ 2θ ≤ 90°, in order of rising 2θ:
two_theta	intensity
18.5	100
35.8	14
36.2	13
36.6	11
43.2	27
43.7	26
44.6	25
48.2	7
63.8	20
64.6	8

Crystal structure
a = 5.097 Å, b = 5.834 Å, c = 7.657 Å
α = 99.38°, β = 109.37°, γ = 90.92°
Positions (direct):
1 Li 0.000 0.000 0.000
2 Li 0.150 0.427 0.667
3 Li 0.159 0.917 0.677
4 Li 0.488 0.238 0.998
5 Li 0.512 0.762 0.002
6 Li 0.841 0.083 0.323
7 Li 0.850 0.573 0.333
8 Mn 0.341 0.830 0.328
9 Mn 0.659 0.170 0.672
10 Co 0.000 0.500 0.000
11 Co 0.344 0.327 0.327
12 Co 0.656 0.673 0.673
13 O 0.030 0.693 0.827
14 O 0.038 0.226 0.829
15 O 0.271 0.112 0.482
16 O 0.279 0.640 0.502
17 O 0.428 0.023 0.175
18 O 0.432 0.554 0.189
19 O 0.568 0.446 0.811
20 O 0.572 0.977 0.825
21 O 0.721 0.360 0.498
22 O 0.729 0.888 0.518
23 O 0.962 0.774 0.171
24 O 0.970 0.307 0.173

(7)
Structure and theoretical X-ray diffraction stick pattern of Li6Mn3CoO10 (a GGA+U-relaxed structure; CuKα).
Kinematic intensities with the Lorentz-polarization factor, no thermal factor.

Most intense lines, 15° ≤ 2θ ≤ 90°, in order of rising 2θ:
two_theta	intensity
18.4	100
19.7	10
35.8	25
36.4	15
43.4	60
44.0	29
47.6	8
57.3	12
63.0	16
64.0	15

Crystal structure
a = 7.803 Å, b = 7.803 Å, c = 5.104 Å
α = 95.97°, β = 95.97°, γ = 142.55°
Positions (direct):
1 Li 0.000 0.000 0.000
2 Li 0.208 0.792 0.000
3 Li 0.408 0.592 0.000
4 Li 0.602 0.398 0.000
5 Li 0.814 0.186 0.000
6 Li 0.909 0.091 0.500
7 Mn 0.104 0.896 0.500
8 Mn 0.311 0.689 0.500
9 Mn 0.709 0.291 0.500
10 Co 0.502 0.498 0.500
11 O 0.049 0.449 0.720
12 O 0.173 0.378 0.261
13 O 0.248 0.213 0.734
14 O 0.365 0.136 0.280
15 O 0.452 0.037 0.718
16 O 0.551 0.951 0.280
17 O 0.622 0.827 0.739
18 O 0.787 0.752 0.266
19 O 0.864 0.635 0.720
20 O 0.963 0.548 0.282

(8)
Structure and theoretical X-ray diffraction stick pattern of Li7Mn2Co3O12 (a GGA+U-relaxed structure; CuKα).
Kinematic intensities with the Lorentz-polarization factor, no thermal factor.

Most intense lines, 15° ≤ 2θ ≤ 90°, in order of rising 2θ:
two_theta	intensity
18.5	100
35.2	15
36.6	12
36.7	13
42.4	31
44.5	53
58.6	9
62.9	8
63.2	15
63.5	8

Crystal structure
a = 2.935 Å, b = 5.056 Å, c = 14.308 Å
α = 88.30°, β = 87.46°, γ = 88.87°
Positions (direct):
1 Li 0.000 0.000 0.000
2 Li 0.002 0.312 0.661
3 Li 0.477 0.811 0.165
4 Li 0.490 0.468 0.998
5 Li 0.510 0.487 0.495
6 Li 0.521 0.157 0.837
7 Li 0.984 0.649 0.327
8 Mn 0.019 0.643 0.837
9 Mn 0.512 0.819 0.662
10 Co 0.012 0.990 0.496
11 Co 0.508 0.157 0.332
12 Co 0.982 0.319 0.159
13 O 0.007 0.338 0.908
14 O 0.045 0.298 0.415
15 O 0.047 0.963 0.745
16 O 0.458 0.150 0.089
17 O 0.494 0.129 0.573
18 O 0.502 0.796 0.906
19 O 0.511 0.460 0.249
20 O 0.532 0.857 0.420
21 O 0.538 0.511 0.754
22 O 0.969 0.016 0.249
23 O 0.979 0.669 0.579
24 O 0.986 0.612 0.093

(9)
Structure and theoretical X-ray diffraction stick pattern of Li4MnCo2O7 (a GGA+U-relaxed structure; CuKα).
Kinematic intensities with the Lorentz-polarization factor, no thermal factor.

Most intense lines, 15° ≤ 2θ ≤ 90°, in order of rising 2θ:
two_theta	intensity
18.6	100
36.2	13
36.8	24
38.2	7
43.6	27
44.5	26
44.8	25
63.5	7
64.5	7
64.6	7

Crystal structure
a = 2.885 Å, b = 6.429 Å, c = 13.370 Å
α = 94.22°, β = 95.15°, γ = 102.95°
Positions (direct):
1 Li 0.000 0.000 0.000
2 Li 0.047 0.931 0.208
3 Li 0.224 0.779 0.640
4 Li 0.356 0.654 0.071
5 Li 0.461 0.502 0.491
6 Li 0.635 0.330 0.928
7 Li 0.745 0.210 0.353
8 Li 0.943 0.070 0.789
9 Mn 0.297 0.717 0.859
10 Mn 0.851 0.140 0.567
11 Co 0.108 0.853 0.422
12 Co 0.407 0.570 0.281
13 Co 0.590 0.423 0.714
14 Co 0.706 0.279 0.138
15 O 0.063 0.454 0.616
16 O 0.120 0.402 0.810
17 O 0.175 0.321 0.049
18 O 0.244 0.269 0.237
19 O 0.258 0.165 0.459
20 O 0.443 0.116 0.673
21 O 0.454 0.008 0.888
22 O 0.537 0.992 0.112
23 O 0.577 0.872 0.326
24 O 0.638 0.826 0.520
25 O 0.758 0.727 0.757
26 O 0.812 0.670 0.951
27 O 0.876 0.587 0.185
28 O 0.938 0.550 0.379

(10)
Structure and theoretical X-ray diffraction stick pattern of Li5MnCo2O8 (a GGA+U-relaxed structure; CuKα).
Kinematic intensities with the Lorentz-polarization factor, no thermal factor.

Most intense lines, 15° ≤ 2θ ≤ 90°, in order of rising 2θ:
two_theta	intensity
17.8	14
18.5	13
18.7	100
36.1	39
43.8	63
44.3	29
58.0	11
63.7	16
64.4	16
67.5	10

Crystal structure
a = 5.070 Å, b = 2.903 Å, c = 9.677 Å
α = 90.00°, β = 101.33°, γ = 90.00°
Positions (direct):
1 Li 0.000 0.000 0.000
2 Li 0.231 0.500 0.237
3 Li 0.253 0.000 0.764
4 Li 0.747 0.000 0.236
5 Li 0.769 0.500 0.763
6 Mn 0.500 0.000 0.500
7 Co 0.000 0.500 0.500
8 Co 0.500 0.500 0.000
9 O 0.140 0.000 0.385
10 O 0.167 0.500 0.887
11 O 0.389 0.000 0.109
12 O 0.400 0.500 0.614
13 O 0.600 0.500 0.386
14 O 0.611 0.000 0.891
15 O 0.833 0.500 0.113
16 O 0.860 0.000 0.615